[1]
This entry pairs a crystal structure of ErMg9Hg2 with its computed powder XRD pattern. Radiation: Cu Kα (weighted mean of Kα1 and Kα2). Structure: a DFT-relaxed cell (PBE, Alexandria).

Cell and atoms:
Unit cell a=12.057 b=12.057 c=7.617 alpha=90.00 beta=90.00 gamma=90.00
Space group I4_1/amd (No. 141, origin choice 2)
One atom of each set of equivalent atoms:
Er 0.000 0.250 0.375 (multiplicity 4)
Mg 0.000 0.250 0.875 (multiplicity 4)
Mg 0.121 0.052 0.676 (multiplicity 32)
Hg 0.000 0.000 0.000 (multiplicity 8)

Main lines, by intensity (10° ≤ 2θ ≤ 90°):
d = 4.401 Å, I 100.0; d = 3.062 Å, I 60.9; d = 2.201 Å, I 46.5; d = 2.695 Å, I 42.5; d = 3.220 Å, I 39.1; d = 3.014 Å, I 36.3



[2]
This entry pairs a crystal structure of CsTlSn with its computed powder XRD pattern. Radiation: Cu Kα (weighted mean of Kα1 and Kα2). Structure: a DFT-relaxed cell (PBE, Alexandria).

Cell and atoms:
Unit cell a=7.921 b=7.927 c=9.402 alpha=90.00 beta=114.84 gamma=90.00
Space group C2 (No. 5)
One atom of each set of equivalent atoms:
Cs 0.172 0.000 0.344 (multiplicity 4)
Tl 0.250 0.250 0.000 (multiplicity 4)
Sn 0.088 0.501 0.178 (multiplicity 4)

Main lines, by intensity (10° ≤ 2θ ≤ 90°):
d = 2.903 Å, I 100.0; d = 8.532 Å, I 91.5; d = 2.802 Å, I 88.0; d = 3.594 Å, I 79.0; d = 2.915 Å, I 37.7; d = 1.637 Å, I 34.9



[3]
This entry pairs a crystal structure of RbAg2Pb3 with its computed powder XRD pattern. Radiation: Cu Kα (weighted mean of Kα1 and Kα2). Structure: a DFT-relaxed cell (PBE, Alexandria).

Cell and atoms:
Unit cell a=13.701 b=9.611 c=5.844 alpha=90.00 beta=90.00 gamma=90.00
Space group Cmcm (No. 63)
One atom of each set of equivalent atoms:
Rb 0.000 0.159 0.250 (multiplicity 4)
Ag 0.200 0.500 0.000 (multiplicity 8)
Pb 0.000 0.425 0.750 (multiplicity 4)
Pb 0.189 0.219 0.750 (multiplicity 8)

Main lines, by intensity (10° ≤ 2θ ≤ 90°):
d = 3.370 Å, I 100.0; d = 3.263 Å, I 98.3; d = 2.346 Å, I 92.5; d = 7.868 Å, I 87.3; d = 2.393 Å, I 85.0; d = 2.402 Å, I 67.7